Ca2Sn3Hg2: simulated powder X-ray diffraction pattern (copper Kα), based on a DFT-relaxed cell (PBE, Alexandria).
Neutral-atom scattering factors, no anomalous dispersion.

Crystal structure
```
Ca2Sn3Hg2
1.0
2.4057 -10.8055 0.0000
2.4057 10.8055 0.0000
0.0000 0.0000 3.6709
Ca Sn Hg
2 3 2
Direct
0.1537 0.8463 0.0000 Ca
0.8463 0.1537 0.0000 Ca
0.0000 0.0000 0.0000 Sn
0.4270 0.5730 0.5000 Sn
0.5730 0.4270 0.5000 Sn
0.2871 0.7129 0.5000 Hg
0.7129 0.2871 0.5000 Hg
```

Peak list (12 most intense, 2θ from 15° to 90°, sorted by position)
2theta	I_rel
16.41	22
22.22	26
24.25	32
25.63	27
30.92	87
34.52	100
34.90	33
37.17	27
37.38	41
42.63	32
52.06	21
61.89	38


CaSnHg: simulated powder X-ray diffraction pattern (copper Kα), based on a DFT-relaxed cell (PBE, Alexandria).
Neutral-atom scattering factors, no anomalous dispersion.

Crystal structure
```
CaSnHg
1.0
4.5535 0.0000 0.0000
0.0000 4.7374 0.0000
-2.2521 0.0000 7.7223
Ca Sn Hg
2 2 2
Direct
0.1518 0.0000 0.3019 Ca
0.8482 0.0000 0.6981 Ca
0.3144 0.5000 0.6301 Sn
0.6856 0.5000 0.3699 Sn
0.0000 0.5010 0.0000 Hg
0.5000 0.0019 0.0000 Hg
```

Peak list (12 most intense, 2θ from 15° to 90°, sorted by position)
2theta	I_rel
23.03	11
27.78	19
32.34	100
34.85	18
37.99	17
39.58	15
52.50	11
56.02	11
60.86	6
65.09	14
67.22	6
67.34	6


Sr4CaHg5: simulated powder X-ray diffraction pattern (copper Kα), based on a DFT-relaxed cell (PBE, Alexandria).
Neutral-atom scattering factors, no anomalous dispersion.

Crystal structure
```
Sr4CaHg5
1.0
3.9460 0.0000 0.0000
0.0000 3.9460 0.0000
0.0000 0.0000 19.9379
Sr Ca Hg
4 1 5
Direct
0.0000 0.0000 0.1020 Sr
0.0000 0.0000 0.3067 Sr
0.0000 0.0000 0.6933 Sr
0.0000 0.0000 0.8980 Sr
0.0000 0.0000 0.5000 Ca
0.5000 0.5000 0.0000 Hg
0.5000 0.5000 0.2047 Hg
0.5000 0.5000 0.4100 Hg
0.5000 0.5000 0.5900 Hg
0.5000 0.5000 0.7953 Hg
```

Peak list (12 most intense, 2θ from 15° to 90°, sorted by position)
2theta	I_rel
22.29	11
22.53	22
31.91	100
32.08	51
39.41	11
45.49	9
46.00	19
56.75	18
57.07	39
66.69	11
67.09	6
76.27	17


Sr5CaHg6: simulated powder X-ray diffraction pattern (copper Kα), based on a DFT-relaxed cell (PBE, Alexandria).
Neutral-atom scattering factors, no anomalous dispersion.

Crystal structure
```
Sr5CaHg6
1.0
2.8234 -8.4455 0.0000
2.8234 8.4455 0.0000
0.0000 0.0000 7.8621
Sr Ca Hg
5 1 6
Direct
0.0000 0.0000 0.0000 Sr
0.3323 0.6677 0.0000 Sr
0.3341 0.6659 0.5000 Sr
0.6659 0.3341 0.5000 Sr
0.6677 0.3323 0.0000 Sr
0.0000 0.0000 0.5000 Ca
0.1636 0.8364 0.2549 Hg
0.1636 0.8364 0.7451 Hg
0.5000 0.5000 0.2573 Hg
0.5000 0.5000 0.7427 Hg
0.8364 0.1636 0.2549 Hg
0.8364 0.1636 0.7451 Hg
```

Peak list (12 most intense, 2θ from 15° to 90°, sorted by position)
2theta	I_rel
22.30	21
22.62	10
31.74	51
31.97	100
39.33	10
45.50	19
46.19	9
56.63	20
56.75	20
57.13	19
66.84	12
75.50	13


SrCa3Hg3: simulated powder X-ray diffraction pattern (copper Kα), based on a DFT-relaxed cell (PBE, Alexandria).
Neutral-atom scattering factors, no anomalous dispersion.

Crystal structure
```
SrCa3Hg3
1.0
8.3926 0.0000 0.0000
0.0000 8.3926 0.0000
0.0000 0.0000 8.3926
Sr Ca Hg
2 6 6
Direct
0.0000 0.0000 0.0000 Sr
0.5000 0.5000 0.5000 Sr
0.0000 0.2500 0.5000 Ca
0.0000 0.7500 0.5000 Ca
0.2500 0.5000 0.0000 Ca
0.5000 0.0000 0.2500 Ca
0.5000 0.0000 0.7500 Ca
0.7500 0.5000 0.0000 Ca
0.0000 0.5000 0.2500 Hg
0.0000 0.5000 0.7500 Hg
0.2500 0.0000 0.5000 Hg
0.5000 0.2500 0.0000 Hg
0.5000 0.7500 0.0000 Hg
0.7500 0.0000 0.5000 Hg
```

Peak list (12 most intense, 2θ from 15° to 90°, sorted by position)
2theta	I_rel
21.17	38
23.71	100
26.01	91
37.11	45
38.68	30
40.20	58
43.11	36
49.79	30
59.30	27
62.61	24
68.98	18
75.08	17


SrCaHg5: simulated powder X-ray diffraction pattern (copper Kα), based on a DFT-relaxed cell (PBE, Alexandria).
Neutral-atom scattering factors, no anomalous dispersion.

Crystal structure
```
SrCaHg5
1.0
3.2240 -4.7721 0.0000
3.2240 4.7721 0.0000
0.0000 0.0000 6.7701
Sr Ca Hg
1 1 5
Direct
0.0000 0.0000 0.0000 Sr
0.5000 0.5000 0.5000 Ca
0.0000 0.0000 0.5000 Hg
0.0000 0.5000 0.2503 Hg
0.0000 0.5000 0.7497 Hg
0.5000 0.0000 0.2503 Hg
0.5000 0.0000 0.7497 Hg
```

Peak list (12 most intense, 2θ from 15° to 90°, sorted by position)
2theta	I_rel
16.59	23
18.59	32
26.33	14
31.31	16
32.43	100
33.55	92
37.70	34
38.56	63
43.14	18
55.03	45
65.26	27
67.25	25


Sr2CaHg: simulated powder X-ray diffraction pattern (copper Kα), based on a DFT-relaxed cell (PBE, Alexandria).
Neutral-atom scattering factors, no anomalous dispersion.

Crystal structure
```
Sr2CaHg
1.0
-6.8597 6.8597 3.4064
6.8597 -6.8597 3.4064
6.8597 6.8597 -3.4064
Sr Ca Hg
8 4 4
Direct
0.1159 0.5873 0.7008 Sr
0.1230 0.2347 0.8328 Sr
0.4019 0.2902 0.1672 Sr
0.4127 0.1135 0.5286 Sr
0.5849 0.8841 0.4714 Sr
0.7098 0.8770 0.1117 Sr
0.7653 0.5981 0.8883 Sr
0.8865 0.4151 0.2992 Sr
0.1966 0.3000 0.4596 Ca
0.2630 0.8034 0.1034 Ca
0.7000 0.1595 0.8966 Ca
0.8405 0.7370 0.5404 Ca
0.1882 0.4397 0.1615 Hg
0.2781 0.0266 0.8385 Hg
0.5603 0.7219 0.7485 Hg
0.9734 0.8118 0.2515 Hg
```

Peak list (12 most intense, 2θ from 15° to 90°, sorted by position)
2theta	I_rel
18.29	61
19.47	100
26.84	52
27.58	51
27.76	78
29.11	74
29.88	81
32.11	67
33.30	69
33.45	89
35.26	92
55.29	48


Sr2Ca3Hg2: simulated powder X-ray diffraction pattern (copper Kα), based on a DFT-relaxed cell (PBE, Alexandria).
Neutral-atom scattering factors, no anomalous dispersion.

Crystal structure
```
Sr2Ca3Hg2
1.0
6.2614 -2.4530 0.0000
6.2614 2.4530 0.0000
-3.5504 0.0000 8.4442
Sr Ca Hg
2 3 2
Direct
0.1477 0.1477 0.3012 Sr
0.8523 0.8523 0.6988 Sr
0.3688 0.3688 0.0606 Ca
0.5000 0.5000 0.5000 Ca
0.6312 0.6312 0.9394 Ca
0.1517 0.1517 0.7134 Hg
0.8483 0.8483 0.2866 Hg
```

Peak list (12 most intense, 2θ from 15° to 90°, sorted by position)
2theta	I_rel
19.66	52
20.86	54
21.04	63
26.63	35
29.50	100
30.65	98
30.99	40
31.12	72
31.79	23
34.89	86
36.63	53
41.67	27


CaTb2Hg7: simulated powder X-ray diffraction pattern (copper Kα), based on a DFT-relaxed cell (PBE, Alexandria).
Neutral-atom scattering factors, no anomalous dispersion.

Crystal structure
```
CaTb2Hg7
1.0
5.0493 0.0000 0.0000
-2.5246 4.3728 0.0000
0.0000 0.0000 12.0819
Ca Tb Hg
1 2 7
Direct
0.0000 0.0000 0.0000 Ca
0.3333 0.6667 0.6538 Tb
0.6667 0.3333 0.4468 Tb
0.0000 0.0000 0.2962 Hg
0.0000 0.0000 0.5657 Hg
0.3333 0.6667 0.1376 Hg
0.3333 0.6667 0.3890 Hg
0.3333 0.6667 0.8950 Hg
0.6667 0.3333 0.1575 Hg
0.6667 0.3333 0.7826 Hg
```

Peak list (12 most intense, 2θ from 15° to 90°, sorted by position)
2theta	I_rel
20.31	10
21.61	13
30.17	54
35.56	100
36.14	60
47.31	16
51.61	22
60.56	15
63.86	19
64.24	23
75.28	12
86.47	11


Ca2TcHg: simulated powder X-ray diffraction pattern (copper Kα), based on a DFT-relaxed cell (PBE, Alexandria).
Neutral-atom scattering factors, no anomalous dispersion.

Crystal structure
```
Ca2TcHg
1.0
-1.7431 2.5779 5.4998
1.7431 -2.5779 5.4998
1.7431 2.5779 -5.4998
Ca Tc Hg
2 1 1
Direct
0.0000 0.0000 0.0000 Ca
0.7051 0.2051 0.5000 Ca
0.4622 0.4622 0.0000 Tc
0.2640 0.7640 0.5000 Hg
```

Peak list (12 most intense, 2θ from 15° to 90°, sorted by position)
2theta	I_rel
16.12	15
19.01	67
26.83	14
32.56	22
34.80	28
35.10	100
35.53	24
44.79	16
48.40	14
50.59	18
62.58	18
64.54	9


Ca2TcHg: simulated powder X-ray diffraction pattern (copper Kα), based on a DFT-relaxed cell (PBE, Alexandria).
Neutral-atom scattering factors, no anomalous dispersion.

Crystal structure
```
Ca2TcHg
1.0
5.7274 -1.5963 0.0000
5.7274 1.5963 0.0000
-1.5153 0.0000 5.2668
Ca Tc Hg
2 1 1
Direct
0.0000 0.0000 0.0000 Ca
0.1956 0.1956 0.6267 Ca
0.4476 0.4476 0.4804 Tc
0.7595 0.7595 0.1701 Hg
```

Peak list (12 most intense, 2θ from 15° to 90°, sorted by position)
2theta	I_rel
16.10	34
16.83	51
19.85	78
32.54	36
32.64	22
33.41	37
34.98	100
37.34	45
38.16	53
40.33	20
40.99	24
41.93	25


Ca2ThHg5: simulated powder X-ray diffraction pattern (copper Kα), based on a DFT-relaxed cell (PBE, Alexandria).
Neutral-atom scattering factors, no anomalous dispersion.

Crystal structure
```
Ca2ThHg5
1.0
-2.6417 2.6417 7.4855
2.6417 -2.6417 7.4855
2.6417 2.6417 -7.4855
Ca Th Hg
2 1 5
Direct
0.2389 0.2389 0.0000 Ca
0.7611 0.7611 0.0000 Ca
0.5000 0.5000 0.0000 Th
0.0000 0.0000 0.0000 Hg
0.1255 0.6255 0.5000 Hg
0.3745 0.8745 0.5000 Hg
0.6255 0.1255 0.5000 Hg
0.8745 0.3745 0.5000 Hg
```

Peak list (12 most intense, 2θ from 15° to 90°, sorted by position)
2theta	I_rel
23.80	6
26.67	8
33.91	100
36.04	5
48.72	18
50.32	3
54.92	3
56.43	2
60.68	38
71.37	12
81.31	5
81.46	11


What did the sixth record say?
SrCaHg5: simulated powder X-ray diffraction pattern (copper Kα), based on a DFT-relaxed cell (PBE, Alexandria).
Neutral-atom scattering factors, no anomalous dispersion.

Crystal structure
```
SrCaHg5
1.0
3.2240 -4.7721 0.0000
3.2240 4.7721 0.0000
0.0000 0.0000 6.7701
Sr Ca Hg
1 1 5
Direct
0.0000 0.0000 0.0000 Sr
0.5000 0.5000 0.5000 Ca
0.0000 0.0000 0.5000 Hg
0.0000 0.5000 0.2503 Hg
0.0000 0.5000 0.7497 Hg
0.5000 0.0000 0.2503 Hg
0.5000 0.0000 0.7497 Hg
```

Peak list (12 most intense, 2θ from 15° to 90°, sorted by position)
2theta	I_rel
16.59	23
18.59	32
26.33	14
31.31	16
32.43	100
33.55	92
37.70	34
38.56	63
43.14	18
55.03	45
65.26	27
67.25	25